Theoretical powder X-ray diffraction pattern
Compound: La5Nd2Sc
Radiation: Cu Kα X-rays
Structure: a GGA-PBE-relaxed structure
Lines closer than 0.1° are merged.

The 10 most intense peaks (15 to 90 degrees two-theta), by angle:
2θ 29.91, intensity 100
2θ 34.27, intensity 35
2θ 35.45, intensity 16
2θ 49.15, intensity 6
2θ 49.35, intensity 6
2θ 50.13, intensity 23
2θ 58.63, intensity 14
2θ 58.76, intensity 14
2θ 60.26, intensity 13
2θ 62.22, intensity 6

Atomic structure:
```
data_La5Nd2Sc
_chemical_formula_sum 'La5 Nd2 Sc1'
_symmetry_space_group_name_H-M 'P 1'
_symmetry_Int_Tables_number 1
_cell_length_a 8.9788
_cell_length_b 8.9788
_cell_length_c 3.6934
_cell_angle_alpha 90.00
_cell_angle_beta 90.00
_cell_angle_gamma 111.33
loop_
_symmetry_equiv_pos_as_xyz
'x,y,z'
loop_
_atom_site_label
_atom_site_type_symbol
_atom_site_fract_x
_atom_site_fract_y
_atom_site_fract_z
_atom_site_occupancy
La1 La 0.0000 0.0000 0.0000 1
La2 La 0.1406 0.3802 0.5000 1
La3 La 0.3802 0.1406 0.5000 1
La4 La 0.6198 0.8594 0.5000 1
La5 La 0.8594 0.6198 0.5000 1
Nd1 Nd 0.2480 0.7520 0.0000 1
Nd2 Nd 0.7520 0.2480 0.0000 1
Sc1 Sc 0.5000 0.5000 0.0000 1
```